(1)
Structure and theoretical X-ray diffraction stick pattern of KZrAg2Te4 (a DFT-relaxed cell (PBE, Alexandria); Cu Kα X-rays).

```
data_KZrAg2Te4
_space_group_name_H-M_alt 'I 2 2 2'
_space_group_IT_number 23
_cell_length_a 7.1761
_cell_length_b 8.2200
_cell_length_c 9.1438
_cell_angle_alpha 90.00
_cell_angle_beta 90.00
_cell_angle_gamma 90.00
loop_
_space_group_symop_operation_xyz
'x,y,z'
'-x,-y,z'
'x,-y,-z'
'-x,y,-z'
'x+1/2,y+1/2,z+1/2'
'-x+1/2,-y+1/2,z+1/2'
'x+1/2,-y+1/2,-z+1/2'
'-x+1/2,y+1/2,-z+1/2'
loop_
_atom_site_label
_atom_site_type_symbol
_atom_site_fract_x
_atom_site_fract_y
_atom_site_fract_z
K1 K 0.0000 0.0000 0.0000
Zr1 Zr 0.0000 0.0000 0.5000
Ag1 Ag 0.0000 0.5000 0.1613
Te1 Te 0.2041 0.2119 0.3264
```

Main lines, by angle (2θ from 10° to 90°):
hkl 0 1 1, d 6.113, 14.5°, intensity 50; hkl 1 1 2, d 3.491, 25.5°, intensity 100; hkl 2 1 1, d 3.094, 28.9°, intensity 27; hkl 2 2 0, d 2.703, 33.1°, intensity 71; hkl 1 2 3, d 2.317, 38.9°, intensity 33; hkl 1 3 2, d 2.234, 40.4°, intensity 27; hkl 1 1 4, d 2.105, 43.0°, intensity 33; hkl 0 4 0, d 2.053, 44.1°, intensity 30

(2)
Structure and theoretical X-ray diffraction stick pattern of K2Tl2Ag (a DFT-relaxed cell (PBE, Alexandria); Cu Kα X-rays).

```
data_K2Tl2Ag
_space_group_name_H-M_alt 'P 4/m b m'
_space_group_IT_number 127
_space_group_name_Hall '-P 4 2ab'
_cell_length_a 7.7019
_cell_length_b 7.7019
_cell_length_c 5.9875
_cell_angle_alpha 90.00
_cell_angle_beta 90.00
_cell_angle_gamma 90.00
loop_
_atom_site_label
_atom_site_type_symbol
_atom_site_fract_x
_atom_site_fract_y
_atom_site_fract_z
K1 K 0.1801 0.3199 0.0000
Tl1 Tl 0.1397 0.6397 0.5000
Ag1 Ag 0.0000 0.0000 0.5000
```

Main lines, by angle (2θ from 10° to 90°):
hkl 0 0 1, d 5.987, 14.8°, intensity 68; hkl 2 1 0, d 3.444, 25.9°, intensity 24; hkl 0 0 2, d 2.988, 29.9°, intensity 100; hkl 3 1 0, d 2.436, 36.9°, intensity 22; hkl 3 1 1, d 2.257, 39.9°, intensity 41; hkl 3 1 2, d 1.889, 48.2°, intensity 21; hkl 2 1 3, d 1.727, 53.0°, intensity 15; hkl 5 2 1, d 1.391, 67.3°, intensity 10

(3)
Structure and theoretical X-ray diffraction stick pattern of KY4Ag (a DFT-relaxed cell (PBE, Alexandria); Cu Kα X-rays).

```
data_KY4Ag
_space_group_name_H-M_alt 'F -4 3 m'
_space_group_IT_number 216
_space_group_name_Hall 'F -4 2 3'
_cell_length_a 9.4390
_cell_length_b 9.4390
_cell_length_c 9.4390
_cell_angle_alpha 90.00
_cell_angle_beta 90.00
_cell_angle_gamma 90.00
loop_
_atom_site_label
_atom_site_type_symbol
_atom_site_fract_x
_atom_site_fract_y
_atom_site_fract_z
K1 K 0.0000 0.0000 0.0000
Y1 Y 0.1236 0.1236 0.6236
Ag1 Ag 0.2500 0.2500 0.2500
```

Main lines, by angle (2θ from 10° to 90°):
hkl 1 1 1, d 5.450, 16.3°, intensity 16; hkl 2 2 0, d 3.337, 26.7°, intensity 21; hkl 3 1 1, d 2.846, 31.4°, intensity 100; hkl 2 2 2, d 2.725, 32.9°, intensity 46; hkl 3 3 3, d 1.817, 50.2°, intensity 34; hkl 4 4 0, d 1.669, 55.0°, intensity 29; hkl 6 2 2, d 1.423, 65.6°, intensity 18; hkl 7 3 1, d 1.229, 77.7°, intensity 20

(4)
Structure and theoretical X-ray diffraction stick pattern of KZn2Ag3 (a DFT-relaxed cell (PBE, Alexandria); Cu Kα X-rays).

```
data_KZn2Ag3
_space_group_name_H-M_alt 'C m c m'
_space_group_IT_number 63
_space_group_name_Hall '-C 2c 2'
_cell_length_a 11.3466
_cell_length_b 8.7796
_cell_length_c 5.4846
_cell_angle_alpha 90.00
_cell_angle_beta 90.00
_cell_angle_gamma 90.00
loop_
_atom_site_label
_atom_site_type_symbol
_atom_site_fract_x
_atom_site_fract_y
_atom_site_fract_z
K1 K 0.0000 0.1630 0.2500
Zn1 Zn 0.2025 0.5000 0.0000
Ag1 Ag 0.0000 0.4279 0.7500
Ag2 Ag 0.2041 0.2331 0.7500
```

Main lines, by angle (2θ from 10° to 90°):
hkl 1 1 0, d 6.944, 12.7°, intensity 73; hkl 2 0 0, d 5.673, 15.6°, intensity 41; hkl 2 2 1, d 2.934, 30.5°, intensity 75; hkl 4 0 0, d 2.836, 31.5°, intensity 40; hkl 0 2 2, d 2.326, 38.7°, intensity 36; hkl 2 2 2, d 2.152, 42.0°, intensity 100; hkl 3 3 1, d 2.132, 42.4°, intensity 42; hkl 5 1 1, d 2.039, 44.4°, intensity 35